LiEuW2O8: theoretical X-ray diffraction stick pattern (Cu Kα (weighted mean of Kα1 and Kα2)), based on a structure optimized by DFT (GGA+U).
Neutral-atom scattering factors, no anomalous dispersion.

Most intense lines, 2θ = 10–90°, by angle:
2θ/deg, I_rel
18.46, 37
28.56, 100
29.15, 13
31.83, 13
33.72, 22
47.05, 31
48.43, 14
54.72, 16
57.20, 28
76.05, 13

Atomic structure:
```
12
Lattice="-2.658 2.658 5.623 2.658 -2.658 5.623 2.658 2.658 -5.623" Properties=species:S:1:pos:R:3 pbc="T T T"
Li 0.000 0.000 0.000
Eu 0.000 2.658 2.812
W 2.658 0.000 2.812
W 0.000 0.000 5.623
O 3.943 -0.847 1.815
O 1.811 -1.285 3.808
O 1.813 1.391 -1.015
O 1.373 0.847 1.815
O 1.267 -0.844 6.638
O 3.505 1.285 3.808
O 0.844 1.267 4.609
O 1.391 3.502 1.015
```